This entry pairs a crystal structure of ZnCd2 with its theoretical powder XRD pattern. Radiation: a wavelength of 1.5418 Å. Structure: a cell relaxed with GGA-PBE.
Neutral-atom scattering factors, no anomalous dispersion.

The 12 most intense peaks (15 to 90 degrees two-theta), low angle first:
Position (°2θ)	d [Å]	I_rel
19.1	4.639	27
31.5	2.841	15
37.1	2.422	100
38.8	2.319	56
45.1	2.009	13
49.4	1.843	6
56.1	1.640	5
59.8	1.546	31
65.7	1.420	29
69.2	1.358	5
78.0	1.225	10
79.1	1.211	20

Structural model:
```
data_ZnCd2
_space_group_name_H-M_alt 'P 1'
_space_group_IT_number 1
_cell_length_a 5.6811
_cell_length_b 5.6811
_cell_length_c 5.6811
_cell_angle_alpha 60.00
_cell_angle_beta 60.00
_cell_angle_gamma 60.00
loop_
_space_group_symop_operation_xyz
'x,y,z'
loop_
_atom_site_label
_atom_site_fract_x
_atom_site_fract_y
_atom_site_fract_z
Zn1 0.1250 0.1250 0.1250
Zn2 0.8750 0.8750 0.8750
Cd1 0.0000 0.5000 0.5000
Cd2 0.5000 0.0000 0.5000
Cd3 0.5000 0.5000 0.0000
Cd4 0.5000 0.5000 0.5000
```